# 1
Diffraction record for LiV6O7F5. The powder X-ray diffraction pattern is theoretical, not measured: it uses the GGA+U geometry in the Materials Project and a wavelength of 1.5418 Å.

Atomic structure:
a = 5.6759 Å, b = 5.6925 Å, c = 7.5616 Å
α = 71.38°, β = 71.14°, γ = 72.15°
Positions (direct):
Li (0.0000, 0.0000, 0.0000)
V (0.2368, 0.7284, 0.7480)
V (0.2470, 0.7364, 0.2766)
V (0.5392, 0.0976, 0.4254)
V (0.5582, 0.0979, 0.9117)
V (0.8888, 0.3797, 0.5869)
V (0.9431, 0.4121, 0.1181)
O (0.1448, 0.6528, 0.0574)
O (0.2115, 0.0985, 0.0955)
O (0.2488, 0.3850, 0.4301)
O (0.3402, 0.8457, 0.4622)
O (0.5342, 0.4379, 0.7568)
O (0.7901, 0.2962, 0.3962)
O (0.9265, 0.0223, 0.7712)
F (0.4570, 0.9777, 0.7235)
F (0.6185, 0.7093, 0.0915)
F (0.6790, 0.1820, 0.1204)
F (0.8593, 0.7755, 0.4298)
F (0.9987, 0.4886, 0.8015)

Principal peaks in the range 2θ = 15–90°, by angle:
d [Å]	intensity	index
3.430	98	1 1 2
3.347	100	1 -1 0
2.616	26	0 1 -2
2.607	26	1 0 -2
2.595	25	1 2 0
2.587	23	2 1 0
1.765	27	2 3 2
1.750	32	-2 1 2
1.674	22	2 -2 0
1.549	19	2 2 -2

# 2
Diffraction record for LaMgMnCrO6. The powder X-ray diffraction pattern is theoretical, not measured: it uses the GGA+U geometry in the Materials Project and a wavelength of 1.5418 Å.

Atomic structure:
a = 5.3316 Å, b = 5.4660 Å, c = 9.2940 Å
α = 90.00°, β = 124.76°, γ = 90.00°
Positions (direct):
La (0.0000, 0.2161, 0.0000)
La (0.0000, 0.7839, 0.5000)
Mg (0.5313, 0.3081, 0.4988)
Mg (0.5313, 0.6919, 0.9988)
Mn (0.7591, 0.2517, 0.2513)
Mn (0.7591, 0.7483, 0.7513)
Cr (0.2573, 0.2482, 0.7483)
Cr (0.2573, 0.7518, 0.2483)
O (0.1283, 0.2307, 0.4951)
O (0.1283, 0.7693, 0.9951)
O (0.4357, 0.2976, 0.0053)
O (0.4357, 0.7024, 0.5053)
O (0.5128, 0.0574, 0.3073)
O (0.5128, 0.9426, 0.8073)
O (0.5920, 0.4811, 0.8059)
O (0.5920, 0.5189, 0.3059)
O (0.8870, 0.0488, 0.6930)
O (0.8870, 0.9512, 0.1930)
O (0.9765, 0.4737, 0.1985)
O (0.9765, 0.5263, 0.6985)

Principal peaks in the range 2θ = 15–90°, by angle:
d [Å]	intensity	index
4.445	69	0 1 1
4.371	68	1 0 0
2.733	46	0 2 0
2.703	100	1 1 1
2.695	99	1 1 -3
2.666	42	2 0 -2
2.317	28	1 2 -2
1.909	87	0 0 4
1.571	31	1 3 -3
1.548	34	3 1 -1

# 3
Diffraction record for TiNi5B2O10. The powder X-ray diffraction pattern is theoretical, not measured: it uses the GGA+U geometry in the Materials Project and a wavelength of 1.5418 Å.

Atomic structure:
a = 3.0233 Å, b = 9.3070 Å, c = 12.3557 Å
α = 90.00°, β = 90.00°, γ = 90.00°
Positions (direct):
Ti (0.0000, 0.0104, 0.0000)
Ti (0.0000, 0.9896, 0.5000)
Ni (0.0000, 0.2600, 0.3834)
Ni (0.0000, 0.4879, 0.7716)
Ni (0.0000, 0.5121, 0.2716)
Ni (0.0000, 0.7400, 0.8834)
Ni (0.5000, 0.2592, 0.1712)
Ni (0.5000, 0.2595, 0.6063)
Ni (0.5000, 0.2599, 0.8830)
Ni (0.5000, 0.7405, 0.1063)
Ni (0.5000, 0.7401, 0.3830)
Ni (0.5000, 0.7408, 0.6712)
B (0.0000, 0.0201, 0.7464)
B (0.0000, 0.4742, 0.0264)
B (0.0000, 0.5258, 0.5264)
B (0.0000, 0.9799, 0.2464)
O (0.0000, 0.0942, 0.6475)
O (0.0000, 0.0952, 0.8453)
O (0.0000, 0.1263, 0.2450)
O (0.0000, 0.3751, 0.5269)
O (0.0000, 0.3978, 0.9302)
O (0.0000, 0.3998, 0.1230)
O (0.0000, 0.6002, 0.6230)
O (0.0000, 0.6022, 0.4302)
O (0.0000, 0.6249, 0.0269)
O (0.0000, 0.8737, 0.7450)
O (0.0000, 0.9048, 0.3453)
O (0.0000, 0.9058, 0.1475)
O (0.5000, 0.1238, 0.4637)
O (0.5000, 0.1359, 0.0317)
O (0.5000, 0.3539, 0.7430)
O (0.5000, 0.3612, 0.3109)
O (0.5000, 0.6388, 0.8109)
O (0.5000, 0.6461, 0.2430)
O (0.5000, 0.8641, 0.5317)
O (0.5000, 0.8762, 0.9637)

Principal peaks in the range 2θ = 15–90°, by angle:
d [Å]	intensity	index
5.147	49	0 1 2
4.653	30	0 2 0
2.574	100	0 2 4
2.535	79	1 2 0
2.358	37	1 1 3
2.133	25	1 3 1
2.043	29	1 3 2
1.916	43	1 3 3
1.512	24	2 0 0
1.504	37	1 1 7

# 4
Diffraction record for Mg2Cr5P6O24. The powder X-ray diffraction pattern is theoretical, not measured: it uses the GGA+U geometry in the Materials Project and a wavelength of 1.5418 Å.

Atomic structure:
a = 6.3746 Å, b = 8.0011 Å, c = 9.4184 Å
α = 105.41°, β = 108.27°, γ = 101.12°
Positions (direct):
Mg (0.2151, 0.1895, 0.2085)
Mg (0.7849, 0.8105, 0.7915)
Cr (0.1173, 0.5412, 0.3886)
Cr (0.4487, 0.2825, 0.9762)
Cr (0.5000, 0.0000, 0.5000)
Cr (0.5513, 0.7175, 0.0238)
Cr (0.8827, 0.4588, 0.6114)
P (0.1074, 0.7662, 0.1318)
P (0.2736, 0.8518, 0.7338)
P (0.4070, 0.4059, 0.6667)
P (0.5930, 0.5941, 0.3333)
P (0.7264, 0.1482, 0.2662)
P (0.8926, 0.2338, 0.8682)
O (0.0436, 0.7365, 0.7318)
O (0.0512, 0.6305, 0.2124)
O (0.1278, 0.2356, 0.9937)
O (0.1857, 0.4582, 0.5815)
O (0.2265, 0.9616, 0.2583)
O (0.2522, 0.7144, 0.0348)
O (0.2727, 0.7967, 0.5605)
O (0.2924, 0.0516, 0.7954)
O (0.3802, 0.4636, 0.3391)
O (0.3818, 0.2117, 0.5819)
O (0.4304, 0.4516, 0.8447)
O (0.4877, 0.8122, 0.8417)
O (0.5123, 0.1878, 0.1583)
O (0.5696, 0.5484, 0.1553)
O (0.6182, 0.7883, 0.4181)
O (0.6198, 0.5364, 0.6609)
O (0.7076, 0.9484, 0.2046)
O (0.7273, 0.2033, 0.4395)
O (0.7478, 0.2856, 0.9652)
O (0.7735, 0.0384, 0.7417)
O (0.8143, 0.5418, 0.4185)
O (0.8722, 0.7644, 0.0063)
O (0.9488, 0.3695, 0.7876)
O (0.9564, 0.2635, 0.2682)

Principal peaks in the range 2θ = 15–90°, by angle:
d [Å]	intensity	index
4.768	23	-1 1 1
4.341	36	1 -1 1
3.913	20	0 2 -1
3.124	36	2 0 -1
3.013	32	2 -1 0
3.002	100	0 2 1
2.981	74	0 1 -3
2.899	33	1 -2 2
2.698	25	2 1 -2
1.544	21	1 -3 5

# 5
Diffraction record for K2RbEuV2O8. The powder X-ray diffraction pattern is theoretical, not measured: it uses the GGA+U geometry in the Materials Project and a wavelength of 1.5418 Å.

Atomic structure:
a = 6.1186 Å, b = 6.1186 Å, c = 7.9123 Å
α = 90.00°, β = 90.00°, γ = 120.00°
Positions (direct):
K (0.3333, 0.6667, 0.2027)
K (0.6667, 0.3333, 0.7973)
Rb (0.0000, 0.0000, 0.5000)
Eu (0.0000, 0.0000, 0.0000)
V (0.3333, 0.6667, 0.7497)
V (0.6667, 0.3333, 0.2503)
O (0.1766, 0.3533, 0.8251)
O (0.1766, 0.8234, 0.8251)
O (0.3333, 0.6667, 0.5359)
O (0.3533, 0.1766, 0.1749)
O (0.6467, 0.8234, 0.8251)
O (0.6667, 0.3333, 0.4641)
O (0.8234, 0.1766, 0.1749)
O (0.8234, 0.6467, 0.1749)

Principal peaks in the range 2θ = 15–90°, by angle:
d [Å]	intensity	index
5.299	34	1 0 0
4.403	22	1 0 1
3.170	100	0 1 2
3.059	89	1 1 0
2.201	49	2 0 2
1.787	35	1 2 2
1.766	17	3 0 0
1.661	24	1 1 4
1.530	16	2 2 0
1.378	16	3 1 2